This entry pairs a crystal structure of Co5SbO8 with its simulated powder diffractogram. Radiation: Cu Kα. Structure: the PBE+U geometry in the Materials Project.

Peak list (10 most intense, 10° ≤ 2θ ≤ 90°, sorted by position)
4.918 Å, 2θ 18.04, I = 93.4, hkl 1 1 1
3.003 Å, 2θ 29.75, I = 45.9, hkl 1 2 0
2.624 Å, 2θ 34.17, I = 56.0, hkl 1 0 4
2.593 Å, 2θ 34.60, I = 68.3, hkl -1 1 1
2.583 Å, 2θ 34.74, I = 33.6, hkl 2 1 -1
2.578 Å, 2θ 34.80, I = 100.0, hkl 1 2 -2
2.460 Å, 2θ 36.53, I = 30.6, hkl 2 0 0
2.142 Å, 2θ 42.20, I = 48.3, hkl 2 0 4
1.637 Å, 2θ 56.18, I = 32.1, hkl 3 3 -1
1.502 Å, 2θ 61.78, I = 43.3, hkl 2 4 0

Crystal structure
```
data_Co5SbO8
_chemical_formula_sum 'Co10 Sb2 O16'
_symmetry_space_group_name_H-M 'P -1'
_symmetry_Int_Tables_number 2
_cell_length_a 5.9894
_cell_length_b 6.0037
_cell_length_c 10.7149
_cell_angle_alpha 89.79
_cell_angle_beta 73.90
_cell_angle_gamma 60.14
loop_
_symmetry_equiv_pos_as_xyz
'x,y,z'
'-x,-y,-z'
loop_
_atom_site_label
_atom_site_type_symbol
_atom_site_fract_x
_atom_site_fract_y
_atom_site_fract_z
Co1 Co 0.0000 0.0000 0.0000
Co2 Co 0.0000 0.0000 0.5000
Co3 Co 0.0000 0.5000 0.0000
Co4 Co 0.0000 0.5000 0.5000
Co5 Co 0.3698 0.0659 0.2036
Co6 Co 0.3703 0.5679 0.7031
Co7 Co 0.5000 0.0000 0.5000
Co8 Co 0.5000 0.5000 0.0000
Sb1 Sb 0.0016 0.2514 0.7499
O1 O 0.2239 0.6369 0.3722
O2 O 0.2257 0.1375 0.8730
O3 O 0.2336 0.8658 0.1312
O4 O 0.2354 0.4008 0.1298
O5 O 0.2389 0.3645 0.6302
O6 O 0.2407 0.6316 0.8969
O7 O 0.2429 0.9035 0.6274
O8 O 0.2575 0.1235 0.3999
```